Starting from the PBE+U geometry in the Materials Project, the X-ray diffraction stick pattern of CsNiF3 was calculated for Cu Kα, 1.54184 Å.
Peak positions follow from Bragg's law for the DFT cell and can differ from measured ones.

Atomic structure:
abc: 8.3499 8.3499 8.3499
angles: 43.79 43.79 43.79
Fractional coordinates of all 15 atoms:
1 Cs 0.0000 0.0000 0.0000
2 Cs 0.2146 0.2146 0.2146
3 Cs 0.7854 0.7854 0.7854
4 Ni 0.3795 0.3795 0.3795
5 Ni 0.5000 0.5000 0.5000
6 Ni 0.6205 0.6205 0.6205
7 F 0.0000 0.5000 0.5000
8 F 0.2757 0.7011 0.7011
9 F 0.2989 0.2989 0.7243
10 F 0.2989 0.7243 0.2989
11 F 0.5000 0.0000 0.5000
12 F 0.5000 0.5000 0.0000
13 F 0.7011 0.2757 0.7011
14 F 0.7011 0.7011 0.2757
15 F 0.7243 0.2989 0.2989

Top 10 peaks for 2θ = 15–90°, sorted by position:
d = 3.902 Å, 22.8 deg, I 21.8
d = 3.465 Å, 25.7 deg, I 63.8
d = 3.114 Å, 28.7 deg, I 100.0
d = 2.771 Å, 32.3 deg, I 14.8
d = 2.434 Å, 36.9 deg, I 25.0
d = 2.316 Å, 38.9 deg, I 43.4
d = 2.085 Å, 43.4 deg, I 13.5
d = 1.858 Å, 49.0 deg, I 17.0
d = 1.798 Å, 50.8 deg, I 19.1
d = 1.557 Å, 59.4 deg, I 21.6

***

Starting from the PBE+U geometry in the Materials Project, the X-ray diffraction stick pattern of Li3Ni5O8 was calculated for Cu Kα, 1.54184 Å.
Peak positions follow from Bragg's law for the DFT cell and can differ from measured ones.

Atomic structure:
abc: 5.8578 5.8578 5.8578
angles: 59.81 59.81 59.81
Fractional coordinates of all 16 atoms:
1 Li 0.0000 0.5000 0.5000
2 Li 0.5000 0.0000 0.5000
3 Li 0.5000 0.5000 0.0000
4 Ni 0.0000 0.0000 0.0000
5 Ni 0.0000 0.0000 0.5000
6 Ni 0.0000 0.5000 0.0000
7 Ni 0.5000 0.0000 0.0000
8 Ni 0.5000 0.5000 0.5000
9 O 0.2382 0.2382 0.2382
10 O 0.2425 0.7499 0.7499
11 O 0.2501 0.2501 0.7575
12 O 0.2501 0.7575 0.2501
13 O 0.7499 0.2425 0.7499
14 O 0.7499 0.7499 0.2425
15 O 0.7575 0.2501 0.2501
16 O 0.7618 0.7618 0.7618

Top 10 peaks for 2θ = 15–90°, sorted by position:
d = 4.785 Å, 18.5 deg, I 73.6
d = 4.136 Å, 21.5 deg, I 11.4
d = 2.491 Å, 36.1 deg, I 25.4
d = 2.395 Å, 37.6 deg, I 11.1
d = 2.386 Å, 37.7 deg, I 32.1
d = 2.068 Å, 43.8 deg, I 100.0
d = 1.464 Å, 63.5 deg, I 27.8
d = 1.460 Å, 63.7 deg, I 28.1
d = 1.246 Å, 76.4 deg, I 14.0
d = 1.193 Å, 80.5 deg, I 13.0

***

Starting from the PBE+U geometry in the Materials Project, the X-ray diffraction stick pattern of MgV4O5F7 was calculated for Cu Kα, 1.54184 Å.
Peak positions follow from Bragg's law for the DFT cell and can differ from measured ones.

Atomic structure:
abc: 5.3050 5.4180 8.8828
angles: 75.85 89.67 61.05
Fractional coordinates of all 17 atoms:
1 Mg 0.0000 0.0000 0.0000
2 V 0.0883 0.8972 0.3465
3 V 0.2888 0.3697 0.1142
4 V 0.5139 0.9307 0.8339
5 V 0.8198 0.4212 0.5994
6 O 0.1757 0.1990 0.6746
7 O 0.2149 0.1441 0.2863
8 O 0.2268 0.6770 0.2087
9 O 0.2966 0.1411 0.9727
10 O 0.7105 0.7004 0.7188
11 F 0.3257 0.6797 0.9165
12 F 0.3894 0.6233 0.5240
13 F 0.7208 0.1743 0.7963
14 F 0.7360 0.1656 0.1543
15 F 0.8277 0.1520 0.4800
16 F 0.8509 0.6931 0.0135
17 F 0.8567 0.6812 0.4214

Top 10 peaks for 2θ = 15–90°, sorted by position:
d = 3.843 Å, 23.1 deg, I 100.0
d = 3.805 Å, 23.4 deg, I 94.1
d = 3.660 Å, 24.3 deg, I 98.3
d = 2.758 Å, 32.5 deg, I 22.8
d = 2.715 Å, 33.0 deg, I 19.9
d = 2.702 Å, 33.2 deg, I 21.1
d = 1.922 Å, 47.3 deg, I 24.2
d = 1.902 Å, 47.8 deg, I 21.1
d = 1.830 Å, 49.8 deg, I 21.2
d = 1.680 Å, 54.6 deg, I 20.2

***

Starting from the PBE+U geometry in the Materials Project, the X-ray diffraction stick pattern of Li2MnF4 was calculated for Cu Kα, 1.54184 Å.
Peak positions follow from Bragg's law for the DFT cell and can differ from measured ones.

Atomic structure:
abc: 9.9578 7.4147 8.9355
angles: 90.00 90.00 90.00
Fractional coordinates of all 56 atoms:
1 Li 0.0917 0.1887 0.0000
2 Li 0.1069 0.7852 0.9958
3 Li 0.1346 0.2115 0.6680
4 Li 0.1564 0.7355 0.6696
5 Li 0.3436 0.2355 0.1696
6 Li 0.3654 0.7115 0.1680
7 Li 0.3931 0.2852 0.4958
8 Li 0.4083 0.6887 0.5000
9 Li 0.5917 0.3113 0.0000
10 Li 0.6069 0.7148 0.9958
11 Li 0.6346 0.2885 0.6680
12 Li 0.6564 0.7645 0.6696
13 Li 0.8436 0.2645 0.1696
14 Li 0.8654 0.7885 0.1680
15 Li 0.8931 0.2148 0.4958
16 Li 0.9083 0.8113 0.5000
17 Mn 0.1132 0.5149 0.3248
18 Mn 0.1927 0.0086 0.3869
19 Mn 0.3073 0.5086 0.8869
20 Mn 0.3868 0.0149 0.8248
21 Mn 0.6132 0.9851 0.3248
22 Mn 0.6927 0.4914 0.3869
23 Mn 0.8073 0.9914 0.8869
24 Mn 0.8868 0.4851 0.8248
25 F 0.0110 0.9806 0.9282
26 F 0.0429 0.7165 0.1821
27 F 0.0515 0.6558 0.5150
28 F 0.0877 0.6090 0.8408
29 F 0.1701 0.1344 0.1820
30 F 0.2001 0.3058 0.4696
31 F 0.2220 0.2523 0.8535
32 F 0.2235 0.9791 0.6370
33 F 0.2765 0.4791 0.1370
34 F 0.2780 0.7523 0.3535
35 F 0.2999 0.8058 0.9696
36 F 0.3299 0.6344 0.6820
37 F 0.4123 0.1090 0.3408
38 F 0.4485 0.1558 0.0150
39 F 0.4571 0.2165 0.6821
40 F 0.4890 0.4806 0.4282
41 F 0.5110 0.5194 0.9282
42 F 0.5429 0.7835 0.1821
43 F 0.5515 0.8442 0.5150
44 F 0.5877 0.8910 0.8408
45 F 0.6701 0.3656 0.1820
46 F 0.7001 0.1942 0.4696
47 F 0.7220 0.2477 0.8535
48 F 0.7235 0.5209 0.6370
49 F 0.7765 0.0209 0.1370
50 F 0.7780 0.7477 0.3535
51 F 0.7999 0.6942 0.9696
52 F 0.8299 0.8656 0.6820
53 F 0.9123 0.3910 0.3408
54 F 0.9485 0.3442 0.0150
55 F 0.9571 0.2835 0.6821
56 F 0.9890 0.0194 0.4282

Top 10 peaks for 2θ = 15–90°, sorted by position:
d = 4.468 Å, 19.9 deg, I 83.2
d = 4.349 Å, 20.4 deg, I 100.0
d = 2.869 Å, 31.2 deg, I 45.8
d = 2.853 Å, 31.4 deg, I 53.4
d = 2.821 Å, 31.7 deg, I 69.2
d = 2.416 Å, 37.2 deg, I 34.1
d = 2.104 Å, 43.0 deg, I 32.0
d = 2.091 Å, 43.3 deg, I 27.1
d = 1.923 Å, 47.3 deg, I 32.8
d = 1.712 Å, 53.5 deg, I 27.9